Record 1
Ho2H4CO7: calculated powder diffractogram (Cu Kα X-rays), based on a PBE-relaxed structure.
Peak positions follow from Bragg's law for the DFT cell and can differ from measured ones.

Peak list (10 most intense, 5 to 70 degrees two-theta, low angle first)
index, 2theta, I_rel
1 0 0, 14.2, 100
1 1 0, 20.4, 26
0 1 4, 27.5, 57
0 2 0, 29.6, 18
1 1 -4, 29.7, 29
2 1 0, 32.2, 25
1 1 4, 32.4, 20
1 2 0, 33.0, 22
3 1 0, 46.0, 15
0 3 4, 51.3, 12

Structural model:
```
Ho2H4CO7
1.0
6.305 0.000 0.000
0.000 6.035 0.000
-1.880 0.000 15.351
Ho H C O
8 16 4 28
Cartesian
-0.102 1.426 4.889
-1.042 1.591 12.564
0.437 1.510 1.004
-0.503 1.507 8.680
4.928 4.528 6.672
3.987 4.524 14.347
5.467 4.444 2.787
4.527 4.609 10.463
1.628 4.033 1.096
0.688 5.019 8.771
1.110 3.178 6.861
0.169 5.875 14.537
0.666 3.098 10.678
1.606 5.955 3.003
1.641 3.212 3.201
0.701 5.840 10.877
3.724 0.195 4.475
2.784 2.822 12.151
2.819 0.080 12.349
3.759 2.937 4.673
4.256 0.160 0.814
3.315 2.857 8.490
3.737 1.016 6.580
2.797 2.001 14.256
0.878 3.471 13.550
1.818 5.581 5.874
2.607 0.454 9.477
3.547 2.564 1.801
0.695 3.814 0.885
-0.245 5.239 8.561
0.670 0.166 2.904
-0.270 2.852 10.579
-0.693 0.306 14.552
0.247 2.711 6.876
-0.191 0.012 11.229
0.749 3.006 3.553
-0.408 3.694 13.452
0.532 5.358 5.776
2.199 0.723 5.457
1.259 2.295 13.133
1.819 1.342 9.013
2.759 1.675 1.338
1.666 4.360 14.014
2.606 4.692 6.338
3.166 3.740 2.219
2.226 5.312 9.894
3.893 0.677 9.575
4.833 2.341 1.899
3.675 3.029 11.798
4.616 6.023 4.123
4.178 3.323 8.476
5.118 5.729 0.800
4.695 3.183 4.772
3.755 5.869 12.448
4.670 0.796 6.790
3.730 2.221 14.466
```

=====

Record 2
HoPH5CO7: calculated powder diffractogram (Cu Kα X-rays), based on a PBE-relaxed structure.
Peak positions follow from Bragg's law for the DFT cell and can differ from measured ones.

Peak list (10 most intense, 5 to 70 degrees two-theta, low angle first)
index, 2theta, I_rel
0 0 1, 12.4, 100
1 0 0, 13.7, 37
1 -1 0, 19.0, 14
1 1 -1, 19.6, 36
0 0 2, 24.9, 20
0 2 -1, 25.9, 19
0 2 0, 27.9, 19
0 2 -2, 29.7, 16
2 1 -1, 30.8, 26
-2 1 1, 33.5, 15

Structural model:
```
HoPH5CO7
1.0
6.508 0.000 0.000
-0.082 6.907 0.000
-0.856 -2.901 7.143
Ho P H C O
2 2 10 2 14
Cartesian
0.418 0.266 3.098
5.152 3.740 4.046
1.663 3.778 3.429
3.906 0.228 3.714
0.316 1.222 5.838
1.058 -0.229 6.054
2.116 4.014 2.121
2.979 1.478 0.767
2.995 5.833 0.669
2.574 -1.827 6.474
2.591 2.528 6.377
3.453 -0.008 5.023
4.512 4.235 1.090
5.254 2.784 1.306
0.304 6.245 0.018
5.266 -2.240 7.125
-0.442 2.738 6.049
0.765 5.872 1.129
0.720 2.554 3.397
0.732 4.956 3.841
0.713 0.427 5.389
1.820 -1.464 6.981
2.680 0.383 2.815
2.890 3.623 4.329
3.749 5.470 0.162
4.857 3.579 1.754
4.837 -0.950 3.303
4.850 1.452 3.747
4.805 -1.866 6.015
6.012 1.268 1.095
```